Entry 1:
AcMg2Pb3: computed PXRD pattern (a wavelength of 1.5418 Å), based on the PBE geometry in Alexandria.
Lines closer than 0.1° are merged.

Largest 6 diffraction maxima, low angle first, 10 to 80 degrees two-theta:
31.60 deg, 2.831 Å, I = 100.0; 35.08 deg, 2.558 Å, I = 19.3; 36.90 deg, 2.436 Å, I = 16.1; 37.93 deg, 2.372 Å, I = 15.6; 60.76 deg, 1.524 Å, I = 16.0; 63.19 deg, 1.472 Å, I = 13.6

Structure:
a b c (Å): 5.1164 14.6149 4.7437
angles (deg): 90.00 90.00 90.00
Element x y z (fractional)
Ac (0.2500, 0.2500, 0.0020)
Ac (0.7500, 0.7500, 0.9980)
Mg (0.2500, 0.5712, 0.0004)
Mg (0.2500, 0.9288, 0.0004)
Mg (0.7500, 0.0712, 0.9996)
Mg (0.7500, 0.4288, 0.9996)
Pb (0.2500, 0.0761, 0.5017)
Pb (0.2500, 0.4240, 0.5017)
Pb (0.2500, 0.7500, 0.4983)
Pb (0.7500, 0.2500, 0.5017)
Pb (0.7500, 0.5760, 0.4983)
Pb (0.7500, 0.9240, 0.4983)

---

Entry 2:
Ac3Mg4Pb4: computed PXRD pattern (a wavelength of 1.5418 Å), based on the PBE geometry in Alexandria.
Lines closer than 0.1° are merged.

Largest 6 diffraction maxima, low angle first, 10 to 80 degrees two-theta:
28.19 deg, 3.165 Å, I = 100.0; 29.44 deg, 3.034 Å, I = 30.5; 30.54 deg, 2.928 Å, I = 92.9; 36.99 deg, 2.430 Å, I = 30.2; 58.72 deg, 1.572 Å, I = 23.6; 61.40 deg, 1.510 Å, I = 33.5

Structure:
a b c (Å): 9.4967 9.4967 9.4967
angles (deg): 150.35 125.92 62.89
Element x y z (fractional)
Ac (0.0000, 0.0000, 0.0000)
Ac (0.3832, 0.8832, 0.5000)
Ac (0.6168, 0.1168, 0.5000)
Mg (0.0155, 0.3254, 0.6901)
Mg (0.3647, 0.6746, 0.6901)
Mg (0.6353, 0.3254, 0.3099)
Mg (0.9845, 0.6746, 0.3099)
Pb (0.2232, 0.2232, 0.0000)
Pb (0.2882, 0.5000, 0.7882)
Pb (0.7118, 0.5000, 0.2118)
Pb (0.7768, 0.7768, 0.0000)